No. 1
This entry pairs a crystal structure of WN2O2F4 with its theoretical powder diffractogram. Radiation: Cu Kα (λ = 1.5418 Å). Structure: a DFT-relaxed cell (GGA+U, Alexandria).
Intensities are scaled so that the largest is 1000.

Top 10 peaks for 10° ≤ 2θ ≤ 80°, most intense first:
2θ (°), Rel. int., index
15.75, 1000, 0 1 1
20.24, 453, 1 1 -1
16.45, 418, 1 0 0
25.20, 304, 1 1 1
22.16, 211, 0 2 0
27.72, 193, 1 2 0
22.52, 175, 0 0 2
23.62, 144, 1 0 -2
35.00, 137, 1 1 -3
31.78, 115, 0 2 2

Cell: 5.646 8.024 8.274 Å, 90.00 107.39 90.00°
Space group P2_1 (No. 4)
Unique sites:
W (0.043, 0.000, 0.242)
N (0.111, 0.483, 0.472)
N (0.493, 0.501, 0.198)
O (0.034, 0.954, 0.013)
O (0.235, 0.074, 0.101)
F (0.193, 0.672, 0.787)
F (0.232, 0.351, 0.797)
F (0.236, 0.822, 0.360)
F (0.253, 0.139, 0.413)


No. 2
This entry pairs a crystal structure of Li6Ni2PC4O16 with its theoretical powder diffractogram. Radiation: Cu Kα (λ = 1.5418 Å). Structure: a DFT-relaxed cell (GGA+U, Alexandria).
Intensities are scaled so that the largest is 1000.

Top 10 peaks for 10° ≤ 2θ ≤ 80°, most intense first:
2θ (°), Rel. int., index
22.27, 1000, 3 1 1
11.58, 485, 1 1 1
26.93, 409, 4 0 0
40.30, 404, 5 3 1
35.22, 403, 5 1 1
38.46, 348, 4 4 0
60.56, 259, 5 5 5
45.44, 230, 6 2 2
53.13, 166, 5 5 3
61.00, 158, 6 6 2

Cell: 13.241 13.241 13.241 Å, 90.00 90.00 90.00°
Space group Fd-3 (No. 203, origin choice 2)
Unique sites:
Li (0.091, 0.375, 0.375)
Ni (0.000, 0.000, 0.500)
P (0.125, 0.125, 0.125)
C (0.027, 0.027, 0.723)
O (0.022, 0.290, 0.599)
O (0.058, 0.058, 0.058)